Structure and computed X-ray diffraction stick pattern of MgScP2 (a cell relaxed with PBE; a wavelength of 1.5418 Å).

Lattice parameters (Å, degrees): 3.5266 4.0137 4.9114 90.00 90.00 90.00
Positions (direct):
Mg  0.0000  0.0000  0.0000
Sc  0.0000  0.5000  0.5000
P  0.5000  0.0000  0.5000
P  0.5000  0.5000  0.0000

Top 6 peaks for 2θ = 10–90°, by angle:
| (hkl) | 2θ/deg | I (rel.) |
| --- | --- | --- |
| 0 0 2 | 36.59 | 29 |
| 1 1 1 | 38.61 | 100 |
| 0 2 0 | 45.18 | 15 |
| 0 2 2 | 59.49 | 13 |
| 1 1 3 | 67.22 | 18 |
| 1 3 1 | 78.98 | 11 |